Record 1
For ZnRe3, a structure optimized by DFT (PBE) gives the computed powder X-ray diffraction pattern in this record (a wavelength of 1.5418 Å).
Peak positions follow from Bragg's law for the DFT cell and can differ from measured ones.

Largest 10 diffraction maxima, in order of falling intensity, 2θ = 15–90°:
d_spacing  I (rel.)  index
2.117  100.0  1 0 2
2.407  26.2  1 0 0
2.225  25.4  0 0 4
1.179  20.2  1 1 4
1.263  18.8  1 0 6
1.390  17.1  1 1 0
1.634  16.1  1 0 4
1.162  14.8  2 0 2
2.323  5.3  1 0 1
4.450  4.9  0 0 2

Structural model:
```
data_ZnRe3
_chemical_formula_sum 'Zn1 Re3'
_symmetry_space_group_name_H-M 'P -6 m 2'
_symmetry_Int_Tables_number 187
_symmetry_space_group_name_Hall 'P -6 2'
_cell_length_a 2.7792
_cell_length_b 2.7792
_cell_length_c 8.9001
_cell_angle_alpha 90.00
_cell_angle_beta 90.00
_cell_angle_gamma 120.00
loop_
_atom_site_label
_atom_site_type_symbol
_atom_site_fract_x
_atom_site_fract_y
_atom_site_fract_z
Zn1 Zn 0.0000 0.0000 0.0000
Re1 Re 0.0000 0.0000 0.5000
Re2 Re 0.3333 0.6667 0.2527
```

=====

Record 2
For ZrRe5, a structure optimized by DFT (PBE) gives the computed powder X-ray diffraction pattern in this record (a wavelength of 1.5418 Å).
Peak positions follow from Bragg's law for the DFT cell and can differ from measured ones.

Largest 10 diffraction maxima, in order of falling intensity, 2θ = 15–90°:
d_spacing  I (rel.)  index
2.163  100.0  3 1 0
2.202  84.4  1 1 -2
2.329  50.3  4 0 -2
2.393  28.4  2 0 2
2.470  24.6  1 1 1
2.093  22.6  4 0 1
1.396  20.2  3 1 3
1.441  13.6  0 2 0
1.226  13.3  4 2 -2
1.327  12.3  5 1 -4

Structural model:
```
data_ZrRe5
_chemical_formula_sum 'Zr2 Re10'
_symmetry_space_group_name_H-M 'C 1 m 1'
_symmetry_Int_Tables_number 8
_symmetry_space_group_name_Hall 'C -2y'
_cell_length_a 10.299
_cell_length_b 2.883
_cell_length_c 6.825
_cell_angle_alpha 90.00
_cell_angle_beta 107.77
_cell_angle_gamma 90.00
loop_
_atom_site_label
_atom_site_type_symbol
_atom_site_fract_x
_atom_site_fract_y
_atom_site_fract_z
Zr1 Zr 0.000 0.000 0.000
Re1 Re 0.157 0.500 0.740
Re2 Re 0.186 0.500 0.356
Re3 Re 0.279 0.000 0.088
Re4 Re 0.353 0.000 0.654
Re5 Re 0.472 0.500 0.423
```

=====

Record 3
For ZrRe2, a structure optimized by DFT (PBE) gives the computed powder X-ray diffraction pattern in this record (a wavelength of 1.5418 Å).
Peak positions follow from Bragg's law for the DFT cell and can differ from measured ones.

Largest 10 diffraction maxima, in order of falling intensity, 2θ = 15–90°:
d_spacing  I (rel.)  index
2.262  100.0  1 1 4
2.222  83.6  2 0 2
2.443  40.2  1 0 6
2.135  37.0  2 0 3
4.443  32.2  1 0 1
2.163  32.0  0 0 8
1.327  30.9  2 2 0
1.383  25.4  2 0 10
1.131  25.0  2 2 8
1.445  24.4  3 0 4

Structural model:
```
data_ZrRe2
_chemical_formula_sum 'Zr8 Re16'
_symmetry_space_group_name_H-M 'P 63/m m c'
_symmetry_Int_Tables_number 194
_symmetry_space_group_name_Hall '-P 6c 2c'
_cell_length_a 5.3085
_cell_length_b 5.3085
_cell_length_c 17.3065
_cell_angle_alpha 90.00
_cell_angle_beta 90.00
_cell_angle_gamma 120.00
loop_
_atom_site_label
_atom_site_type_symbol
_atom_site_fract_x
_atom_site_fract_y
_atom_site_fract_z
Zr1 Zr 0.0000 0.0000 0.0929
Zr2 Zr 0.3333 0.6667 0.1550
Re1 Re 0.0000 0.5000 0.0000
Re2 Re 0.1610 0.3221 0.7500
Re3 Re 0.3333 0.6667 0.6264
```

=====

Record 4
For Zr3Re4, a structure optimized by DFT (PBE) gives the computed powder X-ray diffraction pattern in this record (a wavelength of 1.5418 Å).
Peak positions follow from Bragg's law for the DFT cell and can differ from measured ones.

Largest 10 diffraction maxima, in order of falling intensity, 2θ = 15–90°:
d_spacing  I (rel.)  index
2.419  100.0  1 0 7
2.169  56.2  1 1 0
1.295  27.7  2 1 7
1.534  15.1  2 0 0
1.939  13.0  1 0 11
1.457  10.1  1 1 14
2.069  8.4  1 1 4
1.967  6.7  0 0 14
1.203  5.6  2 1 11
1.432  5.6  1 0 17

Structural model:
```
data_Zr3Re4
_chemical_formula_sum 'Zr6 Re8'
_symmetry_space_group_name_H-M 'I 4/m m m'
_symmetry_Int_Tables_number 139
_symmetry_space_group_name_Hall '-I 4 2'
_cell_length_a 3.068
_cell_length_b 3.068
_cell_length_c 27.535
_cell_angle_alpha 90.00
_cell_angle_beta 90.00
_cell_angle_gamma 90.00
loop_
_atom_site_label
_atom_site_type_symbol
_atom_site_fract_x
_atom_site_fract_y
_atom_site_fract_z
Zr1 Zr 0.000 0.000 0.000
Zr2 Zr 0.000 0.000 0.298
Re1 Re 0.000 0.000 0.129
Re2 Re 0.000 0.000 0.424
```

=====

Record 5
For RuRh5, a structure optimized by DFT (PBE) gives the computed powder X-ray diffraction pattern in this record (a wavelength of 1.5418 Å).
Peak positions follow from Bragg's law for the DFT cell and can differ from measured ones.

Largest 6 diffraction maxima, in order of falling intensity, 2θ = 15–90°:
d_spacing  I (rel.)  index
2.215  100.0  1 3 1
1.918  48.1  2 0 0
1.356  30.1  2 0 2
1.157  23.9  1 3 3
1.156  12.0  3 3 1
1.108  10.7  2 6 2

Structural model:
```
data_RuRh5
_chemical_formula_sum 'Ru2 Rh10'
_symmetry_space_group_name_H-M 'C m m m'
_symmetry_Int_Tables_number 65
_symmetry_space_group_name_Hall '-C 2 2'
_cell_length_a 3.834
_cell_length_b 11.518
_cell_length_c 3.837
_cell_angle_alpha 90.00
_cell_angle_beta 90.00
_cell_angle_gamma 90.00
loop_
_atom_site_label
_atom_site_type_symbol
_atom_site_fract_x
_atom_site_fract_y
_atom_site_fract_z
Ru1 Ru 0.000 0.000 0.000
Rh1 Rh 0.000 0.166 0.500
Rh2 Rh 0.000 0.337 0.000
Rh3 Rh 0.000 0.500 0.500
```

=====

Record 6
For RuRh, a structure optimized by DFT (PBE) gives the computed powder X-ray diffraction pattern in this record (a wavelength of 1.5418 Å).
Peak positions follow from Bragg's law for the DFT cell and can differ from measured ones.

Largest 10 diffraction maxima, in order of falling intensity, 2θ = 15–90°:
d_spacing  I (rel.)  index
2.078  100.0  2 1 0
2.167  25.3  0 2 0
2.368  24.7  1 0 2
1.233  17.7  2 3 0
1.598  14.3  1 2 2
1.157  12.9  3 2 2
1.368  11.1  3 0 2
1.141  9.3  2 1 4
1.155  6.4  0 2 4
1.365  5.5  0 0 4

Structural model:
```
data_RuRh
_chemical_formula_sum 'Ru4 Rh4'
_symmetry_space_group_name_H-M 'P n m a'
_symmetry_Int_Tables_number 62
_symmetry_space_group_name_Hall '-P 2ac 2n'
_cell_length_a 4.743
_cell_length_b 4.333
_cell_length_c 5.460
_cell_angle_alpha 90.00
_cell_angle_beta 90.00
_cell_angle_gamma 90.00
loop_
_atom_site_label
_atom_site_type_symbol
_atom_site_fract_x
_atom_site_fract_y
_atom_site_fract_z
Ru1 Ru 0.080 0.250 0.126
Rh1 Rh 0.087 0.250 0.623
```

=====

Record 7
For RuRh2, a structure optimized by DFT (PBE) gives the computed powder X-ray diffraction pattern in this record (a wavelength of 1.5418 Å).
Peak positions follow from Bragg's law for the DFT cell and can differ from measured ones.

Largest 10 diffraction maxima, in order of falling intensity, 2θ = 15–90°:
d_spacing  I (rel.)  index
2.219  100.0  0 1 3
2.208  99.1  2 1 0
1.917  95.7  0 2 0
1.355  39.8  2 2 3
1.154  35.6  2 3 0
1.159  23.5  2 1 6
1.156  11.9  0 3 3
1.104  10.7  4 2 0
1.110  10.5  0 2 6
1.361  9.9  0 0 6

Structural model:
```
data_RuRh2
_chemical_formula_sum 'Ru4 Rh8'
_symmetry_space_group_name_H-M 'P n m a'
_symmetry_Int_Tables_number 62
_symmetry_space_group_name_Hall '-P 2ac 2n'
_cell_length_a 5.405
_cell_length_b 3.832
_cell_length_c 8.166
_cell_angle_alpha 90.00
_cell_angle_beta 90.00
_cell_angle_gamma 90.00
loop_
_atom_site_label
_atom_site_type_symbol
_atom_site_fract_x
_atom_site_fract_y
_atom_site_fract_z
Ru1 Ru 0.121 0.250 0.078
Rh1 Rh 0.125 0.250 0.755
Rh2 Rh 0.126 0.250 0.416
```

=====

Record 8
For RuRh2, a structure optimized by DFT (PBE) gives the computed powder X-ray diffraction pattern in this record (a wavelength of 1.5418 Å).
Peak positions follow from Bragg's law for the DFT cell and can differ from measured ones.

Largest 10 diffraction maxima, in order of falling intensity, 2θ = 15–90°:
d_spacing  I (rel.)  index
2.209  100.0  1 0 1
1.916  64.4  0 1 2
2.223  33.8  0 0 3
1.155  24.0  1 1 3
1.358  20.3  1 0 4
1.352  20.0  1 1 0
1.159  12.1  0 1 5
1.153  12.0  0 2 1
1.105  10.7  2 0 2
1.112  3.5  0 0 6

Structural model:
```
data_RuRh2
_chemical_formula_sum 'Ru1 Rh2'
_symmetry_space_group_name_H-M 'P -3 m 1'
_symmetry_Int_Tables_number 164
_symmetry_space_group_name_Hall '-P 3 2"'
_cell_length_a 2.7034
_cell_length_b 2.7034
_cell_length_c 6.6702
_cell_angle_alpha 90.00
_cell_angle_beta 90.00
_cell_angle_gamma 120.00
loop_
_atom_site_label
_atom_site_type_symbol
_atom_site_fract_x
_atom_site_fract_y
_atom_site_fract_z
Ru1 Ru 0.0000 0.0000 0.0000
Rh1 Rh 0.3333 0.6667 0.6716
```